[1]
Ca2SnS4: simulated powder diffractogram (Cu Kα (weighted mean of Kα1 and Kα2)), based on a cell relaxed with GGA-PBE.
Kinematic intensities with the Lorentz-polarization factor, no thermal factor.

Structure:
Lattice parameters (Å, degrees): 7.076 13.944 7.082 90.00 90.00 90.00
Space group C222_1 (No. 20)
Unique sites:
Ca  0.160  0.147  0.481 x8
Sn  0.215  0.500  0.500 x4
S  0.000  0.029  0.750 x4
S  0.000  0.426  0.250 x4
S  0.238  0.172  0.103 x8

Main lines, in order of rising 2θ (2θ = 15–90°):
| index | d (Å) | I (rel.) |
| --- | --- | --- |
| 1 1 1 | 4.711 | 100.0 |
| 0 0 2 | 3.540 | 55.0 |
| 1 3 1 | 3.406 | 77.4 |
| 2 0 2 | 2.503 | 50.7 |
| 1 5 1 | 2.436 | 45.1 |
| 0 6 2 | 1.943 | 45.0 |

[2]
HoAgSe2: simulated powder diffractogram (Cu Kα (weighted mean of Kα1 and Kα2)), based on a cell relaxed with GGA-PBE.
Kinematic intensities with the Lorentz-polarization factor, no thermal factor.

Structure:
Lattice parameters (Å, degrees): 5.663 5.663 12.570 90.00 90.00 90.00
Space group I4_1md (No. 109)
Unique sites:
Ho  0.000  0.000  0.000 x4
Ag  0.000  0.000  0.540 x4
Se  0.000  0.000  0.227 x4
Se  0.000  0.000  0.769 x4

Main lines, in order of rising 2θ (2θ = 15–90°):
| index | d (Å) | I (rel.) |
| --- | --- | --- |
| 1 1 2 | 3.376 | 29.8 |
| 0 0 4 | 3.142 | 48.0 |
| 2 0 0 | 2.832 | 100.0 |
| 2 0 4 | 2.104 | 61.7 |
| 2 2 0 | 2.002 | 36.4 |
| 2 2 4 | 1.689 | 30.7 |

[3]
Mg14SiB: simulated powder diffractogram (Cu Kα (weighted mean of Kα1 and Kα2)), based on a cell relaxed with GGA-PBE.
Kinematic intensities with the Lorentz-polarization factor, no thermal factor.

Structure:
Lattice parameters (Å, degrees): 9.755 6.463 10.792 90.00 90.00 90.00
Space group Amm2 (No. 38)
Unique sites:
Mg  0.000  0.000  0.000 x2
Mg  0.000  0.000  0.499 x2
Mg  0.000  0.249  0.257 x4
Mg  0.250  0.000  0.672 x4
Mg  0.253  0.000  0.172 x4
Mg  0.299  0.235  0.932 x8
Mg  0.500  0.243  0.215 x4
Si  0.500  0.000  0.514 x2
B  0.500  0.000  0.036 x2

Main lines, in order of rising 2θ (2θ = 15–90°):
| index | d (Å) | I (rel.) |
| --- | --- | --- |
| 0 2 2 | 2.773 | 18.1 |
| 0 0 4 | 2.698 | 18.7 |
| 4 0 0 | 2.439 | 24.8 |
| 2 2 2 | 2.410 | 100.0 |
| 2 0 4 | 2.361 | 30.9 |
| 0 2 6 | 1.572 | 14.9 |